Structure and simulated XRD peak list of SmGeBi2 (a structure optimized by DFT (PBE); Cu Kα).

Atomic structure:
Cell: 4.794 4.794 4.827 Å, 90.00 90.00 90.00°
Positions (direct):
Sm  0.000  0.000  0.000
Ge  0.500  0.500  0.000
Bi  0.000  0.500  0.500
Bi  0.500  0.000  0.500

Top 10 peaks for 2θ = 10–80°, by angle:
d_spacing, I_rel
4.827, 7.9
3.393, 9.3
2.774, 100.0
2.414, 17.1
2.397, 33.5
1.701, 23.9
1.695, 11.8
1.454, 14.3
1.446, 28.2
1.387, 12.3

=====

Structure and simulated XRD peak list of Sm5GeBi4 (a structure optimized by DFT (PBE); Cu Kα).

Atomic structure:
Cell: 16.216 16.216 16.216 Å, 164.04 164.04 22.64°
Positions (direct):
Sm  0.000  0.000  0.000
Sm  0.201  0.201  0.000
Sm  0.406  0.406  0.000
Sm  0.594  0.594  0.000
Sm  0.799  0.799  0.000
Ge  0.500  0.500  0.000
Bi  0.100  0.100  0.000
Bi  0.303  0.303  0.000
Bi  0.697  0.697  0.000
Bi  0.900  0.900  0.000

Top 10 peaks for 2θ = 10–80°, by angle:
d_spacing, I_rel
3.675, 1.6
3.198, 1.5
3.182, 100.0
2.780, 2.6
2.250, 77.2
1.837, 28.4
1.591, 13.0
1.423, 24.8
1.422, 11.0
1.299, 26.2

=====

Structure and simulated XRD peak list of Tc2Ge2Bi (a structure optimized by DFT (PBE); Cu Kα).

Atomic structure:
Cell: 3.718 3.718 12.957 Å, 90.00 90.00 90.00°
Positions (direct):
Tc  0.000  0.000  0.113
Tc  0.000  0.000  0.887
Tc  0.500  0.500  0.387
Tc  0.500  0.500  0.613
Ge  0.000  0.500  0.250
Ge  0.000  0.500  0.750
Ge  0.500  0.000  0.250
Ge  0.500  0.000  0.750
Bi  0.000  0.000  0.500
Bi  0.500  0.500  0.000

Top 10 peaks for 2θ = 10–80°, by angle:
d_spacing, I_rel
2.818, 98.4
2.629, 27.3
2.436, 100.0
2.126, 68.6
1.859, 46.3
1.669, 15.8
1.552, 33.2
1.399, 35.9
1.314, 14.7
1.221, 20.6

=====

Structure and simulated XRD peak list of Ge2Bi2Te5 (a structure optimized by DFT (PBE); Cu Kα).

Atomic structure:
Cell: 18.543 18.543 18.543 Å, 13.37 13.37 13.37°
Positions (direct):
Ge  0.000  0.000  0.000
Ge  0.399  0.399  0.399
Bi  0.215  0.215  0.215
Bi  0.805  0.805  0.805
Te  0.105  0.105  0.105
Te  0.308  0.308  0.308
Te  0.509  0.509  0.509
Te  0.707  0.707  0.707
Te  0.914  0.914  0.914

Top 10 peaks for 2θ = 10–80°, by angle:
d_spacing, I_rel
3.377, 15.1
3.094, 100.0
2.449, 13.7
2.218, 29.4
2.158, 40.5
1.770, 19.9
1.547, 9.5
1.483, 8.2
1.369, 17.0
1.257, 9.5

=====

Structure and simulated XRD peak list of GeBi2Te4 (a structure optimized by DFT (PBE); Cu Kα).

Atomic structure:
Cell: 14.707 14.707 14.707 Å, 17.11 17.11 17.11°
Positions (direct):
Ge  0.000  0.000  0.000
Bi  0.420  0.420  0.420
Bi  0.580  0.580  0.580
Te  0.127  0.127  0.127
Te  0.295  0.295  0.295
Te  0.705  0.705  0.705
Te  0.873  0.873  0.873

Top 10 peaks for 2θ = 10–80°, by angle:
d_spacing, I_rel
7.244, 20.9
3.578, 9.5
3.234, 100.0
2.856, 14.8
2.735, 14.0
2.402, 20.9
2.188, 42.7
2.119, 20.0
1.812, 25.7
1.395, 32.8

=====

Structure and simulated XRD peak list of Ge2Bi2Te5 (a structure optimized by DFT (PBE); Cu Kα).

Atomic structure:
Cell: 4.320 4.320 18.080 Å, 90.00 90.00 120.00°
Positions (direct):
Ge  0.000  0.000  0.162
Ge  0.000  0.000  0.838
Bi  0.333  0.667  0.617
Bi  0.667  0.333  0.383
Te  0.000  0.000  0.500
Te  0.333  0.667  0.284
Te  0.333  0.667  0.915
Te  0.667  0.333  0.085
Te  0.667  0.333  0.716

Top 10 peaks for 2θ = 10–80°, by angle:
d_spacing, I_rel
4.520, 6.4
3.179, 100.0
2.347, 34.6
2.160, 35.6
2.126, 8.8
1.787, 19.2
1.589, 10.4
1.471, 11.7
1.377, 16.2
1.280, 10.1